Entry 1:
Structure and computed X-ray powder pattern of Pr7Dy5 (a GGA-PBE-relaxed structure; Cu Kα (λ = 1.5418 Å)).
Lines closer than 0.1° are merged.

The 8 most intense peaks (10° ≤ 2θ ≤ 80°), by angle:
two_theta  d [Å]  I_rel
29.17  3.061  41
30.28  2.952  41
32.05  2.793  100
32.13  2.786  19
36.39  2.469  22
49.92  1.827  20
54.93  1.672  26
59.50  1.554  24

Cell and atoms:
```
Pr7Dy5
1.0
9.483 -1.833 0.000
9.483 1.833 0.000
-6.312 0.000 11.807
Pr Dy
7 5
Cartesian
0.000 0.000 0.000
-2.095 0.000 8.876
-0.004 0.000 5.945
4.208 0.000 8.854
8.445 0.000 2.953
12.657 0.000 5.862
14.749 0.000 2.931
2.117 0.000 2.919
-0.008 0.000 11.776
6.327 0.000 5.903
12.661 0.000 0.031
10.536 0.000 8.888
```

***

Entry 2:
Structure and computed X-ray powder pattern of La2Pm4Er2Tm (a GGA-PBE-relaxed structure; Cu Kα (λ = 1.5418 Å)).
Lines closer than 0.1° are merged.

The 8 most intense peaks (10° ≤ 2θ ≤ 80°), by angle:
two_theta  d [Å]  I_rel
28.38  3.145  36
30.69  2.913  75
31.36  2.852  100
31.47  2.843  49
33.03  2.712  90
33.15  2.703  44
50.01  1.824  39
59.83  1.546  45

Cell and atoms:
```
La2Pm4Er2Tm
1.0
9.463 -1.832 0.000
9.463 1.832 0.000
-4.202 0.000 8.740
La Pm Er Tm
2 4 2 1
Cartesian
1.034 0.000 4.346
13.691 0.000 4.395
-3.153 0.000 7.303
5.247 0.000 1.446
9.478 0.000 7.295
17.878 0.000 1.437
3.163 0.000 7.301
11.562 0.000 1.439
7.362 0.000 4.370
```

***

Entry 3:
Structure and computed X-ray powder pattern of SrZn4Ni9 (a GGA-PBE-relaxed structure; Cu Kα (λ = 1.5418 Å)).
Lines closer than 0.1° are merged.

The 8 most intense peaks (10° ≤ 2θ ≤ 80°), by angle:
two_theta  d [Å]  I_rel
15.45  5.733  34
34.58  2.594  24
38.08  2.363  51
38.36  2.346  86
46.37  1.958  67
46.69  1.945  88
46.85  1.939  100
47.56  1.912  28

Cell and atoms:
```
SrZn4Ni9
1.0
-4.054 4.054 5.817
4.054 -4.054 5.817
4.054 4.054 -5.817
Sr Zn Ni
2 8 18
Cartesian
0.000 0.000 2.909
0.000 0.000 8.726
5.530 1.476 -1.419
1.476 2.579 -1.419
5.530 1.476 1.419
1.476 2.579 1.419
2.579 1.476 4.398
-1.476 2.579 4.398
2.579 1.476 7.236
-1.476 2.579 7.236
4.054 0.000 0.000
1.665 0.516 0.000
4.955 -0.901 2.043
3.538 -2.390 5.817
3.154 -0.901 3.774
3.154 0.901 2.043
3.538 2.390 0.000
4.955 0.901 3.774
1.665 -0.516 5.817
0.000 4.054 0.000
2.390 4.571 0.000
-0.901 3.154 2.043
0.516 1.665 5.817
0.901 3.154 3.774
0.901 4.955 2.043
0.516 6.444 0.000
-0.901 4.955 3.774
2.390 3.538 5.817
```

***

Entry 4:
Structure and computed X-ray powder pattern of Li5Tl5Pd2 (a GGA-PBE-relaxed structure; Cu Kα (λ = 1.5418 Å)).
Lines closer than 0.1° are merged.

The 8 most intense peaks (10° ≤ 2θ ≤ 80°), by angle:
two_theta  d [Å]  I_rel
22.10  4.023  23
23.55  3.778  39
27.16  3.283  29
35.29  2.543  26
37.69  2.387  100
37.95  2.371  35
52.59  1.740  33
52.80  1.734  21

Cell and atoms:
```
Li5Tl5Pd2
1.0
4.141 -2.371 0.000
4.141 2.371 0.000
-2.774 0.000 12.717
Li Tl Pd
5 5 2
Cartesian
0.000 0.000 0.000
-0.006 0.000 7.680
0.000 0.000 10.485
5.508 0.000 2.232
5.515 0.000 5.037
-0.007 0.000 3.761
2.754 0.000 0.847
2.754 0.000 6.359
2.754 0.000 11.870
5.515 0.000 8.956
2.737 0.000 3.609
2.772 0.000 9.108
```